Structure and theoretical powder X-ray diffraction pattern of Th4FeHg2 (a cell relaxed with PBE; Cu Kα (λ = 1.5418 Å)).

Top 10 peaks for 5 to 70 degrees two-theta, in order of rising 2θ:
2θ (°)  Rel. int.
26.22  32
29.14  100
30.43  45
32.45  32
32.57  88
36.32  39
39.26  46
39.49  37
54.55  27
60.80  20

Structural model:
Cell: 11.4721 4.5895 8.2661 Å, 90.00 116.13 90.00°
Space group C2/m (No. 12)
Inequivalent atoms, fractional coordinates:
Th: 0.0642 0.0000 0.3329 (multiplicity 4)
Th: 0.1678 0.5000 0.0539 (multiplicity 4)
Fe: 0.0000 0.0000 0.0000 (multiplicity 2)
Hg: 0.1442 0.5000 0.6462 (multiplicity 4)